No. 1
Simulated powder X-ray diffraction pattern
Compound: Sc2V3Si3
Radiation: Cu Kα X-rays
Structure: DFT lattice parameters and positions (PBE)
No peak broadening, texture or thermal motion is included.

```
Sc2V3Si3
1.0
7.4169 0.0000 0.0000
-3.7085 6.4232 0.0000
0.0000 0.0000 5.3820
Sc V Si
4 6 6
Direct
0.3333 0.6667 0.0000
0.3333 0.6667 0.5000
0.6667 0.3333 0.0000
0.6667 0.3333 0.5000
0.0000 0.2460 0.2500
0.0000 0.7540 0.7500
0.2460 0.0000 0.2500
0.2460 0.2460 0.7500
0.7540 0.0000 0.7500
0.7540 0.7540 0.2500
0.0000 0.3750 0.7500
0.0000 0.6250 0.2500
0.3750 0.0000 0.7500
0.3750 0.3750 0.2500
0.6250 0.0000 0.2500
0.6250 0.6250 0.7500
```

Principal peaks in the range 2θ = 10–90°, most intense first:
40.77°, d = 2.213 Å, intensity 100
41.46°, d = 2.178 Å, intensity 86
42.21°, d = 2.141 Å, intensity 53
37.03°, d = 2.428 Å, intensity 37
36.19°, d = 2.482 Å, intensity 30
64.60°, d = 1.443 Å, intensity 23
60.65°, d = 1.527 Å, intensity 23
33.29°, d = 2.691 Å, intensity 19

=====

No. 2
Simulated powder X-ray diffraction pattern
Compound: K2PtC4N4Cl2
Radiation: Cu Kα X-rays
Structure: DFT lattice parameters and positions (PBE)
No peak broadening, texture or thermal motion is included.

```
K2PtC4N4Cl2
1.0
7.2130 0.0000 0.0000
0.0000 9.3411 0.0000
-2.4621 0.0000 8.3082
K Pt C N Cl
4 2 8 8 4
Direct
0.0116 0.2213 0.1241
0.0116 0.2787 0.6241
0.9884 0.7213 0.3759
0.9884 0.7787 0.8759
0.5000 0.0000 0.5000
0.5000 0.5000 0.0000
0.2986 0.5400 0.1158
0.2986 0.9600 0.6158
0.3071 0.5499 0.7880
0.3071 0.9501 0.2880
0.6929 0.0499 0.7120
0.6929 0.4501 0.2120
0.7014 0.0400 0.3842
0.7014 0.4600 0.8842
0.1744 0.5617 0.1750
0.1744 0.9383 0.6750
0.1861 0.5767 0.6694
0.1861 0.9233 0.1694
0.8139 0.0767 0.8306
0.8139 0.4233 0.3306
0.8256 0.0617 0.3250
0.8256 0.4383 0.8250
0.3909 0.2406 0.4646
0.3909 0.2594 0.9646
0.6091 0.7406 0.0354
0.6091 0.7594 0.5354
```

Principal peaks in the range 2θ = 10–90°, most intense first:
14.27°, d = 6.208 Å, intensity 100
17.05°, d = 5.201 Å, intensity 74
21.16°, d = 4.198 Å, intensity 39
12.80°, d = 6.916 Å, intensity 34
22.98°, d = 3.871 Å, intensity 33
28.51°, d = 3.131 Å, intensity 22
28.02°, d = 3.184 Å, intensity 20
21.39°, d = 4.154 Å, intensity 19

=====

No. 3
Simulated powder X-ray diffraction pattern
Compound: ZrNi4As2
Radiation: Cu Kα X-rays
Structure: DFT lattice parameters and positions (PBE)
No peak broadening, texture or thermal motion is included.

```
ZrNi4As2
1.0
7.0832 0.0000 0.0000
0.0000 7.0832 0.0000
0.0000 0.0000 3.7551
Zr Ni As
2 8 4
Direct
0.0000 0.0000 0.0000
0.5000 0.5000 0.5000
0.0902 0.3454 0.5000
0.1546 0.5902 0.0000
0.3454 0.0902 0.5000
0.4098 0.8454 0.0000
0.5902 0.1546 0.0000
0.6546 0.9098 0.5000
0.8454 0.4098 0.0000
0.9098 0.6546 0.5000
0.2170 0.7830 0.5000
0.2830 0.2830 0.0000
0.7170 0.7170 0.0000
0.7830 0.2170 0.5000
```

Principal peaks in the range 2θ = 10–90°, most intense first:
37.13°, d = 2.421 Å, intensity 100
47.25°, d = 1.924 Å, intensity 80
43.43°, d = 2.083 Å, intensity 51
48.49°, d = 1.878 Å, intensity 39
40.26°, d = 2.240 Å, intensity 39
53.33°, d = 1.718 Å, intensity 26
35.86°, d = 2.504 Å, intensity 25
71.13°, d = 1.325 Å, intensity 20

=====

No. 4
Simulated powder X-ray diffraction pattern
Compound: Ba4Pd3BrO6
Radiation: Cu Kα X-rays
Structure: DFT lattice parameters and positions (PBE)
No peak broadening, texture or thermal motion is included.

```
Ba4Pd3BrO6
1.0
-4.1027 4.1027 4.1027
4.1027 -4.1027 4.1027
4.1027 4.1027 -4.1027
Ba Pd Br O
4 3 1 6
Direct
0.0000 0.0000 0.5000
0.0000 0.5000 0.0000
0.5000 0.0000 0.0000
0.5000 0.5000 0.5000
0.0000 0.5000 0.5000
0.5000 0.0000 0.5000
0.5000 0.5000 0.0000
0.0000 0.0000 0.0000
0.2500 0.5000 0.7500
0.2500 0.7500 0.5000
0.5000 0.2500 0.7500
0.5000 0.7500 0.2500
0.7500 0.2500 0.5000
0.7500 0.5000 0.2500
```

Principal peaks in the range 2θ = 10–90°, most intense first:
30.82°, d = 2.901 Å, intensity 100
54.81°, d = 1.675 Å, intensity 39
44.15°, d = 2.051 Å, intensity 24
89.35°, d = 1.097 Å, intensity 21
72.91°, d = 1.297 Å, intensity 17
64.21°, d = 1.451 Å, intensity 15
81.22°, d = 1.184 Å, intensity 5
15.27°, d = 5.802 Å, intensity 3

=====

No. 5
Simulated powder X-ray diffraction pattern
Compound: SnIrSe2
Radiation: Cu Kα X-rays
Structure: DFT lattice parameters and positions (PBE)
No peak broadening, texture or thermal motion is included.

```
SnIrSe2
1.0
0.0000 3.3738 3.3738
3.3738 0.0000 3.3738
3.3738 3.3738 0.0000
Sn Ir Se
1 1 2
Direct
0.0000 0.0000 0.0000
0.2500 0.2500 0.2500
0.5000 0.5000 0.5000
0.7500 0.7500 0.7500
```

Principal peaks in the range 2θ = 10–90°, most intense first:
37.71°, d = 2.386 Å, intensity 100
68.07°, d = 1.377 Å, intensity 36
54.39°, d = 1.687 Å, intensity 17
22.83°, d = 3.896 Å, intensity 14
80.53°, d = 1.193 Å, intensity 11
44.54°, d = 2.034 Å, intensity 8
59.74°, d = 1.548 Å, intensity 3
85.05°, d = 1.141 Å, intensity 3